# 1
# Cu7Ag3
Simulated X-ray powder pattern, Cu Kα, 1.54184 Å. Input: the PBE geometry in OQMD.
Intensities are scaled so that the largest is 100.

Structure:
```
data_Cu7Ag3
_cell_length_a 2.7641
_cell_length_b 3.4376
_cell_length_c 14.4178
_cell_angle_alpha 90.00
_cell_angle_beta 90.00
_cell_angle_gamma 90.00
_space_group_name_H-M_alt 'P m m 2'
_space_group_IT_number 25
_space_group_name_Hall 'P 2 -2'
loop_
_atom_site_label
_atom_site_type_symbol
_atom_site_fract_x
_atom_site_fract_y
_atom_site_fract_z
_atom_site_occupancy
Cu1 Cu 0.0000 0.0000 0.0000 1
Cu2 Cu 0.0000 0.0000 0.1764 1
Cu3 Cu 0.0000 0.0000 0.3544 1
Cu4 Cu 0.0000 0.0000 0.7860 1
Cu5 Cu 0.5000 0.5000 0.0871 1
Cu6 Cu 0.5000 0.5000 0.2648 1
Cu7 Cu 0.5000 0.5000 0.4410 1
Ag1 Ag 0.0000 0.0000 0.5496 1
Ag2 Ag 0.5000 0.5000 0.6791 1
Ag3 Ag 0.5000 0.5000 0.8920 1
```

Main lines, by angle (10 to 90 degrees two-theta):
hkl  d/Å  Rel. int.
0 1 4  2.488  23
0 1 5  2.209  76
1 0 4  2.193  16
1 1 0  2.154  100
1 0 5  1.995  55
0 2 0  1.719  24
2 0 0  1.382  15
1 2 5  1.302  25
1 1 9  1.285  10
2 1 5  1.172  21

=====

# 2
# Ga5CoNi2
Simulated X-ray powder pattern, Cu Kα, 1.54184 Å. Input: the PBE geometry in OQMD.
Intensities are scaled so that the largest is 100.

Structure:
```
data_Ga5CoNi2
_cell_length_a 4.3598
_cell_length_b 5.3743
_cell_length_c 9.1046
_cell_angle_alpha 90.00
_cell_angle_beta 90.00
_cell_angle_gamma 90.00
_space_group_name_H-M_alt 'A m m 2'
_space_group_IT_number 38
_space_group_name_Hall 'A 2 -2'
loop_
_atom_site_label
_atom_site_type_symbol
_atom_site_fract_x
_atom_site_fract_y
_atom_site_fract_z
_atom_site_occupancy
Ga1 Ga 0.0000 0.0000 0.0000 1
Ga2 Ga 0.0000 0.2398 0.7354 1
Ga3 Ga 0.5000 0.2395 0.4196 1
Co1 Co 0.5000 0.0000 0.6738 1
Ni1 Ni 0.0000 0.0000 0.4827 1
Ni2 Ni 0.5000 0.0000 0.1574 1
```

Main lines, by angle (10 to 90 degrees two-theta):
hkl  d/Å  Rel. int.
0 2 2  2.314  17
0 0 4  2.276  17
2 0 0  2.180  38
1 2 2  2.044  100
1 0 4  2.018  35
2 2 2  1.587  10
2 0 4  1.574  10
0 2 6  1.321  12
3 2 2  1.231  18
2 2 6  1.130  15